Structure and simulated PXRD pattern of MgCd8In4 (a GGA-PBE-relaxed structure; Cu Kα (weighted mean of Kα1 and Kα2)).
Intensities are scaled so that the largest is 1000.

Most intense lines, 10° ≤ 2θ ≤ 80°, by angle:
- (0 0 5), 2.824 Å, 2θ = 31.68°, intensity 420
- (1 1 -4), 2.795 Å, 2θ = 32.02°, intensity 607
- (2 0 4), 2.734 Å, 2θ = 32.76°, intensity 564
- (3 1 0), 2.617 Å, 2θ = 34.26°, intensity 486
- (0 2 0), 2.540 Å, 2θ = 35.34°, intensity 1000
- (3 1 -2), 2.487 Å, 2θ = 36.11°, intensity 564
- (3 1 2), 2.422 Å, 2θ = 37.12°, intensity 464
- (1 1 -5), 2.408 Å, 2θ = 37.34°, intensity 532
- (3 1 -3), 2.328 Å, 2θ = 38.68°, intensity 389
- (3 1 3), 2.248 Å, 2θ = 40.12°, intensity 347

Atomic structure:
a = 9.172 Å, b = 5.079 Å, c = 14.136 Å
α = 90.00°, β = 92.72°, γ = 90.00°
Space group Cm (No. 8)
Unique sites:
Mg (0.000, 0.000, 0.000) x2
Cd (0.065, 0.000, 0.765) x2
Cd (0.076, 0.000, 0.252) x2
Cd (0.191, 0.500, 0.910) x2
Cd (0.237, 0.500, 0.693) x2
Cd (0.260, 0.500, 0.337) x2
Cd (0.311, 0.000, 0.092) x2
Cd (0.422, 0.000, 0.659) x2
Cd (0.428, 0.000, 0.302) x2
In (0.136, 0.500, 0.123) x2
In (0.243, 0.000, 0.475) x2
In (0.367, 0.000, 0.874) x2
In (0.440, 0.500, 0.525) x2

---

Structure and simulated PXRD pattern of Mg7CdIn4 (a GGA-PBE-relaxed structure; Cu Kα (weighted mean of Kα1 and Kα2)).
Intensities are scaled so that the largest is 1000.

Most intense lines, 10° ≤ 2θ ≤ 80°, by angle:
- (2 0 -1), 6.771 Å, 2θ = 13.07°, intensity 265
- (1 1 -2), 3.743 Å, 2θ = 23.77°, intensity 1000
- (3 1 -1), 3.402 Å, 2θ = 26.20°, intensity 522
- (4 0 -3), 3.133 Å, 2θ = 28.49°, intensity 323
- (0 2 0), 2.712 Å, 2θ = 33.03°, intensity 648
- (2 0 -4), 2.584 Å, 2θ = 34.71°, intensity 517
- (3 1 1), 2.422 Å, 2θ = 37.12°, intensity 443
- (5 1 -3), 2.397 Å, 2θ = 37.53°, intensity 452
- (4 0 1), 2.165 Å, 2θ = 41.71°, intensity 320
- (2 2 -4), 1.871 Å, 2θ = 48.67°, intensity 385

Atomic structure:
a = 13.543 Å, b = 5.423 Å, c = 10.762 Å
α = 90.00°, β = 128.58°, γ = 90.00°
Space group C2/m (No. 12)
Unique sites:
Mg (0.000, 0.000, 0.000) x2
Mg (0.070, 0.500, 0.323) x4
Mg (0.152, 0.000, 0.583) x4
Mg (0.217, 0.500, 0.869) x4
Cd (0.000, 0.500, 0.000) x2
In (0.073, 0.000, 0.782) x4
In (0.207, 0.000, 0.342) x4

---

Structure and simulated PXRD pattern of Mg14CdIn (a GGA-PBE-relaxed structure; Cu Kα (weighted mean of Kα1 and Kα2)).
Intensities are scaled so that the largest is 1000.

Most intense lines, 10° ≤ 2θ ≤ 80°, by angle:
- (0 0 1), 8.598 Å, 2θ = 10.29°, intensity 402
- (1 1 0), 4.602 Å, 2θ = 19.29°, intensity 197
- (1 1 1), 4.057 Å, 2θ = 21.91°, intensity 293
- (1 1 2), 3.142 Å, 2θ = 28.41°, intensity 155
- (2 0 1), 3.044 Å, 2θ = 29.35°, intensity 137
- (2 0 2), 2.595 Å, 2θ = 34.57°, intensity 1000
- (2 2 0), 2.301 Å, 2θ = 39.15°, intensity 352
- (0 0 4), 2.150 Å, 2θ = 42.03°, intensity 203
- (2 2 4), 1.571 Å, 2θ = 58.79°, intensity 203
- (4 2 2), 1.378 Å, 2θ = 68.01°, intensity 271

Atomic structure:
a = 6.509 Å, b = 6.509 Å, c = 8.598 Å
α = 90.00°, β = 90.00°, γ = 90.00°
Space group P4/mmm (No. 123)
Unique sites:
Mg (0.000, 0.000, 0.000) x1
Mg (0.000, 0.500, 0.000) x2
Mg (0.000, 0.500, 0.500) x2
Mg (0.248, 0.248, 0.253) x8
Mg (0.500, 0.500, 0.000) x1
Cd (0.000, 0.000, 0.500) x1
In (0.500, 0.500, 0.500) x1

---

Structure and simulated PXRD pattern of Mg5Cd2InNi2 (a GGA-PBE-relaxed structure; Cu Kα (weighted mean of Kα1 and Kα2)).
Intensities are scaled so that the largest is 1000.

Most intense lines, 10° ≤ 2θ ≤ 80°, by angle:
- (0 0 1), 3.747 Å, 2θ = 23.75°, intensity 397
- (2 2 0), 3.642 Å, 2θ = 24.44°, intensity 144
- (3 1 0), 3.257 Å, 2θ = 27.38°, intensity 515
- (2 1 1), 2.907 Å, 2θ = 30.76°, intensity 177
- (2 2 1), 2.611 Å, 2θ = 34.34°, intensity 213
- (4 1 0), 2.498 Å, 2θ = 35.95°, intensity 293
- (3 1 1), 2.458 Å, 2θ = 36.55°, intensity 1000
- (4 2 0), 2.303 Å, 2θ = 39.11°, intensity 177
- (3 2 1), 2.272 Å, 2θ = 39.67°, intensity 181
- (0 0 2), 1.873 Å, 2θ = 48.60°, intensity 169

Atomic structure:
a = 10.300 Å, b = 10.300 Å, c = 3.747 Å
α = 90.00°, β = 90.00°, γ = 90.00°
Space group P4/mbm (No. 127)
Unique sites:
Mg (0.000, 0.500, 0.000) x2
Mg (0.078, 0.215, 0.000) x8
Cd (0.168, 0.668, 0.500) x4
In (0.000, 0.000, 0.500) x2
Ni (0.119, 0.381, 0.500) x4

---

Structure and simulated PXRD pattern of MgCdInPb (a GGA-PBE-relaxed structure; Cu Kα (weighted mean of Kα1 and Kα2)).
Intensities are scaled so that the largest is 1000.

Most intense lines, 10° ≤ 2θ ≤ 80°, by angle:
- (0 0 2), 4.610 Å, 2θ = 19.25°, intensity 327
- (1 0 0), 3.251 Å, 2θ = 27.44°, intensity 242
- (0 1 1), 3.230 Å, 2θ = 27.61°, intensity 248
- (1 0 -1), 3.202 Å, 2θ = 27.86°, intensity 301
- (0 0 3), 3.073 Å, 2θ = 29.05°, intensity 229
- (0 1 2), 2.762 Å, 2θ = 32.42°, intensity 1000
- (1 0 2), 2.505 Å, 2θ = 35.85°, intensity 357
- (1 1 0), 2.366 Å, 2θ = 38.04°, intensity 401
- (0 0 4), 2.305 Å, 2θ = 39.08°, intensity 210
- (1 1 4), 1.577 Å, 2θ = 58.55°, intensity 199

Atomic structure:
a = 3.280 Å, b = 3.449 Å, c = 9.303 Å
α = 90.00°, β = 97.63°, γ = 90.00°
Space group Pm (No. 6)
Unique sites:
Mg (0.000, 0.000, 0.000) x1
Cd (0.582, 0.500, 0.209) x1
In (0.168, 0.000, 0.446) x1
Pb (0.392, 0.500, 0.754) x1

---

Structure and simulated PXRD pattern of Mg2CdIn2Rh2 (a GGA-PBE-relaxed structure; Cu Kα (weighted mean of Kα1 and Kα2)).
Intensities are scaled so that the largest is 1000.

Most intense lines, 10° ≤ 2θ ≤ 80°, by angle:
- (0 0 1), 7.544 Å, 2θ = 11.73°, intensity 384
- (2 0 -1), 4.444 Å, 2θ = 19.98°, intensity 467
- (1 1 0), 3.803 Å, 2θ = 23.39°, intensity 970
- (1 1 -2), 2.957 Å, 2θ = 30.22°, intensity 629
- (0 0 3), 2.515 Å, 2θ = 35.70°, intensity 681
- (3 1 -2), 2.354 Å, 2θ = 38.23°, intensity 373
- (3 1 0), 2.322 Å, 2θ = 38.78°, intensity 1000
- (0 2 0), 2.140 Å, 2θ = 42.24°, intensity 617
- (3 1 -3), 2.082 Å, 2θ = 43.46°, intensity 546
- (4 0 -3), 2.039 Å, 2θ = 44.42°, intensity 569

Atomic structure:
a = 9.016 Å, b = 4.279 Å, c = 8.203 Å
α = 90.00°, β = 113.11°, γ = 90.00°
Space group C2/m (No. 12)
Unique sites:
Mg (0.145, 0.000, 0.325) x4
Cd (0.000, 0.500, 0.500) x2
In (0.218, 0.000, 0.841) x4
Rh (0.023, 0.500, 0.839) x4